Structure and theoretical XRD peak list of Ce2SmHg6 (DFT lattice parameters and positions (PBE); a wavelength of 1.5418 Å).
Intensities are scaled so that the largest is 100.

Structural model:
```
data_Ce2SmHg6
_chemical_formula_sum 'Ce4 Sm2 Hg12'
_space_group_name_H-M_alt 'C m m m'
_space_group_IT_number 65
_space_group_name_Hall '-C 2 2'
_cell_length_a 8.7789
_cell_length_b 15.2542
_cell_length_c 3.3945
_cell_angle_alpha 90.00
_cell_angle_beta 90.00
_cell_angle_gamma 90.00
loop_
_atom_site_label
_atom_site_fract_x
_atom_site_fract_y
_atom_site_fract_z
Ce1 0.0000 0.1667 0.0000
Sm1 0.0000 0.5000 0.0000
Hg1 0.1663 0.3339 0.5000
Hg2 0.1677 0.0000 0.5000
```

Main lines, most intense first (10° ≤ 2θ ≤ 80°):
two_theta, intensity
35.36, 100.0
33.35, 93.0
66.24, 32.9
49.39, 31.2
44.57, 24.2
62.17, 20.9